# 1
For Nd4P3H, DFT lattice parameters and positions (PBE) gives the theoretical powder diffraction line list in this record (Cu Ka).
Intensities are scaled so that the largest is 100.

Top 10 peaks for 2θ from 10° to 90°, by intensity:
2theta	I/Imax
26.6	100
30.8	68
44.3	49
31.0	33
52.3	32
54.9	26
44.1	25
72.9	16
52.6	16
71.0	13

Atomic structure:
abc: 4.113 11.526 8.211
angles: 90.00 90.00 90.00
Space group Amm2 (No. 38)
Asymmetric unit:
Nd 0.000 0.000 0.000 [2 per cell]
Nd 0.000 0.000 0.483 [2 per cell]
Nd 0.500 0.249 0.241 [4 per cell]
P 0.000 0.250 0.491 [4 per cell]
P 0.500 0.000 0.241 [2 per cell]
H 0.500 0.000 0.740 [2 per cell]



# 2
For Nd4Sm2H2Pb3, DFT lattice parameters and positions (PBE) gives the theoretical powder diffraction line list in this record (Cu Ka).
Intensities are scaled so that the largest is 100.

Top 10 peaks for 2θ from 10° to 90°, by intensity:
2theta	I/Imax
33.4	100
37.3	52
27.0	35
64.8	30
18.7	21
29.6	20
53.8	18
30.2	18
51.6	14
27.2	12

Atomic structure:
abc: 4.818 4.818 26.183
angles: 90.00 90.00 90.00
Space group I4/mmm (No. 139)
Asymmetric unit:
Nd 0.000 0.500 0.084 [8 per cell]
Sm 0.000 0.000 0.199 [4 per cell]
H 0.000 0.000 0.106 [4 per cell]
Pb 0.000 0.000 0.323 [4 per cell]
Pb 0.000 0.000 0.500 [2 per cell]



# 3
For NdH4Pd5, DFT lattice parameters and positions (PBE) gives the theoretical powder diffraction line list in this record (Cu Ka).
Intensities are scaled so that the largest is 100.

Top 10 peaks for 2θ from 10° to 90°, by intensity:
2theta	I/Imax
36.9	100
37.3	97
37.4	88
53.8	34
67.0	30
75.7	24
66.7	20
67.3	14
53.4	14
75.9	12

Atomic structure:
abc: 5.871 8.456 4.821
angles: 90.00 90.00 90.00
Space group Pmmn (No. 59, origin choice 2)
Asymmetric unit:
Nd 0.250 0.250 0.229 [2 per cell]
H 0.068 0.750 0.445 [4 per cell]
H 0.250 0.531 0.896 [4 per cell]
Pd 0.003 0.579 0.246 [8 per cell]
Pd 0.250 0.750 0.766 [2 per cell]



Which formula does entry 2 have? Nd4Sm2H2Pb3